(1)
For Li7Ti5Mn12O32, a cell relaxed with GGA+U gives the simulated PXRD pattern in this record (Cu Ka).
Lines closer than 0.1° are merged.

Main lines, in order of rising 2θ (15° ≤ 2θ ≤ 90°):
2θ 18.02, I = 100.0; 2θ 18.13, I = 35.4; 2θ 34.08, I = 16.0; 2θ 35.25, I = 12.7; 2θ 35.42, I = 33.5; 2θ 40.98, I = 31.0; 2θ 43.10, I = 26.6; 2θ 43.31, I = 26.1; 2θ 61.29, I = 19.2; 2θ 62.76, I = 17.6

```
data_Li7Ti5Mn12O32
_cell_length_a 5.9213
_cell_length_b 6.0588
_cell_length_c 19.8527
_cell_angle_alpha 83.23
_cell_angle_beta 89.51
_cell_angle_gamma 61.06
_space_group_name_H-M_alt 'P 1'
_space_group_IT_number 1
loop_
_space_group_symop_operation_xyz
'x,y,z'
loop_
_atom_site_label
_atom_site_type_symbol
_atom_site_fract_x
_atom_site_fract_y
_atom_site_fract_z
Li1 Li 0.0000 0.0000 0.0000
Li2 Li 0.0480 0.8893 0.1736
Li3 Li 0.2364 0.5113 0.7441
Li4 Li 0.2966 0.3908 0.9321
Li5 Li 0.4851 0.0133 0.4921
Li6 Li 0.5540 0.8783 0.6822
Li7 Li 0.7996 0.3800 0.4394
Ti1 Ti 0.0143 0.4577 0.5878
Ti2 Ti 0.7474 0.5031 0.2449
Ti3 Ti 0.7541 0.9637 0.8397
Ti4 Ti 0.7696 0.4546 0.8390
Ti5 Ti 0.9038 0.1859 0.7115
Mn1 Mn 0.0211 0.9479 0.5883
Mn2 Mn 0.0290 0.4425 0.0858
Mn3 Mn 0.1476 0.6958 0.4657
Mn4 Mn 0.2674 0.9495 0.8376
Mn5 Mn 0.2723 0.9376 0.3425
Mn6 Mn 0.2735 0.4455 0.3430
Mn7 Mn 0.3954 0.1988 0.2087
Mn8 Mn 0.5181 0.4484 0.5897
Mn9 Mn 0.5205 0.4426 0.0852
Mn10 Mn 0.5196 0.9525 0.0850
Mn11 Mn 0.6516 0.6894 0.9650
Mn12 Mn 0.7795 0.9310 0.3436
O1 O 0.0430 0.3264 0.7759
O2 O 0.0623 0.8654 0.7772
O3 O 0.0933 0.7927 0.2923
O4 O 0.0945 0.3051 0.2728
O5 O 0.1734 0.0968 0.6475
O6 O 0.2161 0.5498 0.6437
O7 O 0.2178 0.5543 0.1392
O8 O 0.2263 0.0937 0.1461
O9 O 0.2975 0.8231 0.5273
O10 O 0.3112 0.3667 0.5280
O11 O 0.3184 0.3144 0.0287
O12 O 0.3830 0.7875 0.0308
O13 O 0.4280 0.5950 0.4089
O14 O 0.4510 0.0918 0.3873
O15 O 0.4661 0.0583 0.8920
O16 O 0.4925 0.5732 0.8994
O17 O 0.5695 0.3232 0.2727
O18 O 0.5884 0.8079 0.7865
O19 O 0.6001 0.8147 0.2796
O20 O 0.6174 0.2935 0.7812
O21 O 0.6689 0.0985 0.1436
O22 O 0.7267 0.5669 0.1540
O23 O 0.7300 0.5284 0.6517
O24 O 0.7443 0.0677 0.6534
O25 O 0.8211 0.7916 0.0299
O26 O 0.8272 0.3373 0.5380
O27 O 0.8307 0.3347 0.0356
O28 O 0.8676 0.7937 0.5329
O29 O 0.9188 0.6065 0.8939
O30 O 0.9479 0.0886 0.8896
O31 O 0.9626 0.0227 0.4069
O32 O 0.9913 0.5674 0.4075
```


(2)
For Li4TiMn3O8, a cell relaxed with GGA+U gives the simulated PXRD pattern in this record (Cu Ka).
Lines closer than 0.1° are merged.

Main lines, in order of rising 2θ (15° ≤ 2θ ≤ 90°):
2θ 20.41, I = 66.8; 2θ 21.02, I = 60.9; 2θ 21.74, I = 82.3; 2θ 22.14, I = 76.9; 2θ 31.04, I = 48.0; 2θ 31.69, I = 50.3; 2θ 31.86, I = 47.8; 2θ 34.92, I = 100.0; 2θ 36.08, I = 39.9; 2θ 36.56, I = 38.5

```
data_Li4TiMn3O8
_cell_length_a 5.1403
_cell_length_b 5.6509
_cell_length_c 6.5890
_cell_angle_alpha 88.30
_cell_angle_beta 88.91
_cell_angle_gamma 89.10
_space_group_name_H-M_alt 'P 1'
_space_group_IT_number 1
loop_
_space_group_symop_operation_xyz
'x,y,z'
loop_
_atom_site_label
_atom_site_type_symbol
_atom_site_fract_x
_atom_site_fract_y
_atom_site_fract_z
Li1 Li 0.0000 0.0000 0.0000
Li2 Li 0.0039 0.4935 0.2553
Li3 Li 0.5018 0.8308 0.7528
Li4 Li 0.5080 0.3222 0.5040
Ti1 Ti 0.0099 0.9970 0.5023
Mn1 Mn 0.0004 0.4923 0.7539
Mn2 Mn 0.5047 0.3239 0.0066
Mn3 Mn 0.5056 0.8274 0.2438
O1 O 0.3676 0.9887 0.5013
O2 O 0.3887 0.0196 0.9900
O3 O 0.4010 0.4712 0.7681
O4 O 0.4087 0.4830 0.2362
O5 O 0.8587 0.3413 0.0191
O6 O 0.8943 0.8448 0.7374
O7 O 0.8994 0.3067 0.5027
O8 O 0.9073 0.8426 0.2737
```


(3)
For Li2Ti2Mn5O12, a cell relaxed with GGA+U gives the simulated PXRD pattern in this record (Cu Ka).
Lines closer than 0.1° are merged.

Main lines, in order of rising 2θ (15° ≤ 2θ ≤ 90°):
2θ 17.48, I = 69.8; 2θ 19.48, I = 22.9; 2θ 20.63, I = 23.5; 2θ 23.54, I = 33.3; 2θ 26.30, I = 20.3; 2θ 36.65, I = 17.9; 2θ 41.57, I = 100.0; 2θ 43.59, I = 46.7; 2θ 60.87, I = 22.8; 2θ 62.75, I = 25.1

```
data_Li2Ti2Mn5O12
_cell_length_a 5.0914
_cell_length_b 9.1131
_cell_length_c 10.3622
_cell_angle_alpha 90.00
_cell_angle_beta 101.74
_cell_angle_gamma 90.00
_space_group_name_H-M_alt 'P 1 21 1'
_space_group_IT_number 4
loop_
_space_group_symop_operation_xyz
'x,y,z'
'-x,y+1/2,-z'
loop_
_atom_site_label
_atom_site_type_symbol
_atom_site_fract_x
_atom_site_fract_y
_atom_site_fract_z
Li1 Li 0.0045 0.0000 0.2662
Li2 Li 0.2454 0.1594 0.5042
Ti1 Ti 0.2581 0.3327 0.0068
Ti2 Ti 0.2620 0.8335 0.5080
Mn1 Mn 0.0061 0.3385 0.2613
Mn2 Mn 0.2521 0.0003 0.0098
Mn3 Mn 0.2551 0.5086 0.5044
Mn4 Mn 0.2546 0.6643 0.9975
Mn5 Mn 0.4950 0.3073 0.7360
O1 O 0.0988 0.1865 0.1124
O2 O 0.0990 0.9864 0.6041
O3 O 0.1159 0.4976 0.0957
O4 O 0.1236 0.8472 0.1130
O5 O 0.1249 0.3582 0.6105
O6 O 0.1322 0.6721 0.6079
O7 O 0.3644 0.6736 0.4033
O8 O 0.3777 0.1639 0.9051
O9 O 0.3778 0.3585 0.3948
O10 O 0.3790 0.4728 0.8890
O11 O 0.3810 0.9807 0.3891
O12 O 0.3835 0.8207 0.8928
```


Which formula does entry 3 have?
Li2Ti2Mn5O12